Computed X-ray powder pattern
Compound: Tb12FeCoBi4
Radiation: Cu Kα (λ = 1.5418 Å)
Structure: the GGA-PBE geometry in Alexandria

Largest 10 diffraction maxima, in order of rising 2θ, 15 to 90 degrees two-theta:
index	2theta	I/Imax
2 1 0	30.30	100
1 0 -5	32.43	40
2 0 4	32.52	20
2 1 -2	32.74	60
3 0 -3	36.92	22
3 1 -1	39.24	23
0 2 0	43.83	21
2 2 4	55.58	27
5 1 1	59.52	16
2 3 0	72.15	12

Cell and atoms:
a b c (Å): 8.4326 4.1315 14.5891
angles (deg): 90.00 90.23 90.00
Fractional positions:
Tb (0.0000, 0.0000, 0.0000)
Tb (0.0074, 0.0000, 0.2325)
Tb (0.1504, 0.0000, 0.6162)
Tb (0.1815, 0.5000, 0.8163)
Tb (0.1925, 0.5000, 0.4198)
Tb (0.2821, 0.5000, 0.1140)
Tb (0.4947, 0.0000, 0.7272)
Tb (0.5042, 0.0000, 0.4978)
Tb (0.6569, 0.0000, 0.1137)
Tb (0.6850, 0.5000, 0.9151)
Tb (0.6932, 0.5000, 0.3098)
Tb (0.7814, 0.5000, 0.6152)
Fe (0.8898, 0.5000, 0.1199)
Co (0.3754, 0.5000, 0.6013)
Bi (0.3856, 0.0000, 0.9471)
Bi (0.3905, 0.0000, 0.2808)
Bi (0.8807, 0.0000, 0.7818)
Bi (0.8866, 0.0000, 0.4486)